The following is a theoretical XRD peak list of NdSm6Er5. It was derived from a structure optimized by DFT (GGA-PBE), using Cu Kα.
Intensities are scaled so that the largest is 100.

The 8 most intense peaks (15 to 90 degrees two-theta), low angle first:
30.58 deg, rel. 100, hkl 1 3 2; 35.41 deg, rel. 34, hkl 2 0 0; 35.54 deg, rel. 17, hkl 0 0 4; 50.99 deg, rel. 24, hkl 2 6 0; 51.06 deg, rel. 12, hkl 2 0 4; 60.60 deg, rel. 29, hkl 3 3 2; 60.77 deg, rel. 14, hkl 1 3 6; 63.66 deg, rel. 12, hkl 2 6 4

Cell and atoms:
abc: 5.0678 15.2129 10.1037
angles: 90.00 90.00 90.00
Space group Cmmm (No. 65)
One atom of each set of equivalent atoms:
Nd: 0.0000 0.0000 0.0000
Sm: 0.0000 0.1669 0.2516
Sm: 0.0000 0.5000 0.2523
Er: 0.0000 0.0000 0.5000
Er: 0.0000 0.3320 0.0000
Er: 0.0000 0.3334 0.5000

The following is a theoretical XRD peak list of Nd4Sm8Er. It was derived from a structure optimized by DFT (GGA-PBE), using Cu Kα.
Intensities are scaled so that the largest is 100.

The 8 most intense peaks (15 to 90 degrees two-theta), low angle first:
19.41 deg, rel. 15, hkl 0 2 1; 31.89 deg, rel. 100, hkl 2 2 0; 32.27 deg, rel. 95, hkl 0 2 4; 46.01 deg, rel. 35, hkl 4 0 4; 56.82 deg, rel. 19, hkl 6 0 0; 57.07 deg, rel. 37, hkl 2 4 4; 57.79 deg, rel. 17, hkl 2 0 8; 76.01 deg, rel. 15, hkl 6 2 4

Cell and atoms:
abc: 11.2254 11.2254 13.5119
angles: 90.00 90.00 120.00
Space group R-3m (No. 166, hexagonal axes)
One atom of each set of equivalent atoms:
Nd: 0.0000 0.0000 0.0000
Nd: 0.0000 0.5000 0.0000
Sm: 0.0000 0.0000 0.2384
Sm: 0.0116 0.5058 0.7433
Er: 0.0000 0.0000 0.5000

The following is a theoretical XRD peak list of Nd4SmEr7. It was derived from a structure optimized by DFT (GGA-PBE), using Cu Kα.
Intensities are scaled so that the largest is 100.

The 8 most intense peaks (15 to 90 degrees two-theta), low angle first:
30.53 deg, rel. 35, hkl 0 0 3; 31.07 deg, rel. 38, hkl 2 0 2; 31.62 deg, rel. 100, hkl 1 -2 0; 31.87 deg, rel. 81, hkl 2 0 -1; 35.24 deg, rel. 12, hkl 1 -1 3; 43.73 deg, rel. 11, hkl 1 -2 3; 46.05 deg, rel. 13, hkl 3 2 1; 56.63 deg, rel. 23, hkl -3 2 1

Cell and atoms:
abc: 6.5857 6.8581 9.0313
angles: 84.14 77.19 81.04
Space group P-1 (No. 2)
One atom of each set of equivalent atoms:
Nd: 0.1384 0.3048 0.2882
Nd: 0.3335 0.8870 0.6900
Sm: 0.5000 0.5000 0.0000
Er: 0.0128 0.2513 0.9524
Er: 0.1805 0.7954 0.3545
Er: 0.3137 0.3954 0.6188
Er: 0.5000 0.0000 0.0000

The following is a theoretical XRD peak list of Nd5Sm12Er2. It was derived from a structure optimized by DFT (GGA-PBE), using Cu Kα.
Intensities are scaled so that the largest is 100.

The 8 most intense peaks (15 to 90 degrees two-theta), low angle first:
27.41 deg, rel. 30, hkl 5 1 -1; 29.61 deg, rel. 22, hkl 1 1 -2; 30.32 deg, rel. 57, hkl 0 4 0; 30.82 deg, rel. 20, hkl 6 0 -1; 31.56 deg, rel. 100, hkl 4 2 1; 32.64 deg, rel. 46, hkl 2 2 -2; 34.45 deg, rel. 19, hkl 6 2 -1; 54.63 deg, rel. 25, hkl 4 6 1

Cell and atoms:
abc: 18.0000 11.7918 6.2496
angles: 90.00 102.91 90.00
Space group C2/m (No. 12)
One atom of each set of equivalent atoms:
Nd: 0.0000 0.0000 0.0000
Nd: 0.1760 0.5000 0.3578
Nd: 0.2149 0.0000 0.0540
Sm: 0.0527 0.5000 0.7738
Sm: 0.1027 0.2538 0.1185
Sm: 0.1193 0.0000 0.4979
Sm: 0.1965 0.2547 0.6989
Er: 0.0000 0.2295 0.5000

The following is a theoretical XRD peak list of Nd4SmEr5. It was derived from a structure optimized by DFT (GGA-PBE), using Cu Kα.
Intensities are scaled so that the largest is 100.

The 8 most intense peaks (15 to 90 degrees two-theta), low angle first:
26.97 deg, rel. 22, hkl -1 1 1; 31.28 deg, rel. 29, hkl 0 3 0; 31.63 deg, rel. 26, hkl 0 2 -3; 31.71 deg, rel. 20, hkl 0 0 4; 33.80 deg, rel. 100, hkl -1 2 2; 48.14 deg, rel. 15, hkl 1 -1 5; 57.30 deg, rel. 12, hkl -1 5 2; 61.99 deg, rel. 13, hkl 2 -1 4

Cell and atoms:
abc: 3.5302 8.7581 11.2865
angles: 90.14 90.01 101.60
Space group P-1 (No. 2)
One atom of each set of equivalent atoms:
Nd: 0.0327 0.0648 0.2483
Nd: 0.3441 0.6846 0.2502
Sm: 0.5000 0.0000 0.5000
Er: 0.1722 0.3457 0.0465
Er: 0.1736 0.3484 0.4496
Er: 0.5000 0.0000 0.0000

The following is a theoretical XRD peak list of Nd3Sm4Er3. It was derived from a structure optimized by DFT (GGA-PBE), using Cu Kα.
Intensities are scaled so that the largest is 100.

The 8 most intense peaks (15 to 90 degrees two-theta), low angle first:
29.83 deg, rel. 64, hkl 0 2 4; 30.00 deg, rel. 65, hkl 0 4 2; 30.34 deg, rel. 56, hkl 1 2 2; 31.77 deg, rel. 100, hkl 1 1 3; 31.87 deg, rel. 95, hkl 1 3 1; 48.29 deg, rel. 23, hkl 2 0 0; 55.20 deg, rel. 23, hkl 0 8 0; 57.84 deg, rel. 57, hkl 2 4 2

Cell and atoms:
abc: 3.7694 13.2988 13.4185
angles: 90.00 90.00 90.00
Space group Amm2 (No. 38)
One atom of each set of equivalent atoms:
Nd: 0.0000 0.0000 0.0000
Nd: 0.0000 0.1710 0.6703
Sm: 0.5000 0.0000 0.5399
Sm: 0.5000 0.0000 0.8005
Sm: 0.5000 0.1284 0.1732
Er: 0.0000 0.0000 0.3422
Er: 0.5000 0.2458 0.4195

The following is a theoretical XRD peak list of NdSm7Er2. It was derived from a structure optimized by DFT (GGA-PBE), using Cu Kα.
Intensities are scaled so that the largest is 100.

The 8 most intense peaks (15 to 90 degrees two-theta), low angle first:
30.39 deg, rel. 85, hkl 3 1 -2; 30.89 deg, rel. 100, hkl 5 1 0; 32.26 deg, rel. 46, hkl 0 2 0; 32.94 deg, rel. 40, hkl 2 0 2; 33.95 deg, rel. 18, hkl 1 1 2; 46.78 deg, rel. 31, hkl 2 2 2; 56.68 deg, rel. 18, hkl 5 3 0; 57.85 deg, rel. 17, hkl 7 1 2

Cell and atoms:
abc: 18.3728 5.5494 7.0853
angles: 90.00 112.58 90.00
Space group C2/m (No. 12)
One atom of each set of equivalent atoms:
Nd: 0.0000 0.0000 0.0000
Sm: 0.0000 0.0000 0.5000
Sm: 0.1096 0.5000 0.3616
Sm: 0.1096 0.5000 0.8584
Sm: 0.1996 0.0000 0.1997
Er: 0.1995 0.0000 0.6996

The following is a theoretical XRD peak list of Nd3Sm2Er6. It was derived from a structure optimized by DFT (GGA-PBE), using Cu Kα.
Intensities are scaled so that the largest is 100.

The 8 most intense peaks (15 to 90 degrees two-theta), low angle first:
28.64 deg, rel. 100, hkl 1 1 4; 30.70 deg, rel. 26, hkl 1 0 9; 34.34 deg, rel. 80, hkl 1 1 8; 37.82 deg, rel. 61, hkl 2 0 0; 50.64 deg, rel. 24, hkl 2 0 12; 54.55 deg, rel. 21, hkl 2 2 0; 62.76 deg, rel. 22, hkl 3 1 4; 66.06 deg, rel. 24, hkl 3 1 8

Cell and atoms:
abc: 4.7581 4.7581 33.1414
angles: 90.00 90.00 90.00
Space group I4/mmm (No. 139)
One atom of each set of equivalent atoms:
Nd: 0.0000 0.0000 0.0000
Nd: 0.0000 0.0000 0.2042
Sm: 0.0000 0.0000 0.4537
Er: 0.0000 0.0000 0.3080
Er: 0.0000 0.5000 0.1208